# Zr5Ag3
Calculated powder XRD pattern, copper Kα. Input: a structure optimized by DFT (PBE).
No peak broadening, texture or thermal motion is included.

Largest 8 diffraction maxima, most intense first, 2θ = 5–70°:
2theta  intensity
36.13  100
39.84  50
36.23  31
31.83  30
61.82  20
33.67  15
47.25  15
56.69  12

Crystal structure
Unit cell a=8.5887 b=8.5887 c=5.3244 alpha=90.00 beta=90.00 gamma=120.00
Element x y z (fractional)
Zr 0.0000 0.2322 0.2500
Zr 0.0000 0.7678 0.7500
Zr 0.2322 0.0000 0.2500
Zr 0.2322 0.2322 0.7500
Zr 0.3333 0.6667 0.0000
Zr 0.3333 0.6667 0.5000
Zr 0.6667 0.3333 0.0000
Zr 0.6667 0.3333 0.5000
Zr 0.7678 0.0000 0.7500
Zr 0.7678 0.7678 0.2500
Ag 0.0000 0.4023 0.7500
Ag 0.0000 0.5977 0.2500
Ag 0.4023 0.0000 0.7500
Ag 0.4023 0.4023 0.2500
Ag 0.5977 0.0000 0.2500
Ag 0.5977 0.5977 0.7500

=====

# Na2PuTeS4
Calculated powder XRD pattern, copper Kα. Input: a structure optimized by DFT (PBE).
No peak broadening, texture or thermal motion is included.

Largest 8 diffraction maxima, most intense first, 2θ = 5–70°:
2theta  intensity
14.52  100
33.26  68
25.93  46
26.29  39
26.06  38
20.80  37
39.67  33
44.71  27

Crystal structure
Unit cell a=7.3154 b=3.8969 c=7.5857 alpha=90.00 beta=110.03 gamma=90.00
Element x y z (fractional)
Na 0.0000 0.0000 0.0000
Na 0.5000 0.5000 0.5000
Pu 0.0000 0.0000 0.5000
Te 0.5000 0.5000 0.0000
S 0.0850 0.5000 0.3012
S 0.3813 0.0000 0.7387
S 0.6187 0.0000 0.2613
S 0.9150 0.5000 0.6988

=====

# SmNpS2O
Calculated powder XRD pattern, copper Kα. Input: a structure optimized by DFT (PBE).
No peak broadening, texture or thermal motion is included.

Largest 8 diffraction maxima, most intense first, 2θ = 5–70°:
2theta  intensity
26.21  100
32.48  60
6.36  47
41.83  36
54.25  29
25.63  27
46.60  25
34.58  22

Crystal structure
Unit cell a=3.8983 b=3.8983 c=13.9009 alpha=90.00 beta=90.00 gamma=90.00
Element x y z (fractional)
Sm 0.2500 0.2500 0.1223
Sm 0.7500 0.7500 0.8777
Np 0.2500 0.2500 0.5892
Np 0.7500 0.7500 0.4108
S 0.2500 0.2500 0.3151
S 0.2500 0.2500 0.9065
S 0.7500 0.7500 0.0935
S 0.7500 0.7500 0.6849
O 0.2500 0.7500 0.5000
O 0.7500 0.2500 0.5000

=====

# TbCe2Te3
Calculated powder XRD pattern, copper Kα. Input: a structure optimized by DFT (PBE).
No peak broadening, texture or thermal motion is included.

Largest 8 diffraction maxima, most intense first, 2θ = 5–70°:
2theta  intensity
28.37  100
40.55  51
66.45  23
50.09  14
50.36  13
40.39  13
58.69  13
40.70  13

Crystal structure
Unit cell a=14.7142 b=14.0319 c=7.7147 alpha=79.38 beta=69.60 gamma=31.02
Element x y z (fractional)
Tb 0.0417 0.0417 0.2083
Tb 0.2083 0.2083 0.0417
Tb 0.7917 0.7917 0.9583
Tb 0.9583 0.9583 0.7917
Ce 0.1262 0.1262 0.6238
Ce 0.2930 0.2930 0.4570
Ce 0.3762 0.3762 0.8738
Ce 0.4570 0.4570 0.2930
Ce 0.5430 0.5430 0.7070
Ce 0.6238 0.6238 0.1262
Ce 0.7070 0.7070 0.5430
Ce 0.8738 0.8738 0.3762
Te 0.0412 0.5396 0.2025
Te 0.1167 0.6333 0.6333
Te 0.2025 0.7168 0.0412
Te 0.2832 0.7975 0.4604
Te 0.3667 0.8833 0.8833
Te 0.4604 0.9588 0.2832
Te 0.5396 0.0412 0.7168
Te 0.6333 0.1167 0.1167
Te 0.7168 0.2025 0.5396
Te 0.7975 0.2832 0.9588
Te 0.8833 0.3667 0.3667
Te 0.9588 0.4604 0.7975

=====

Question: What is the formula in the third record?
Answer: SmNpS2O